Entry 1:
Zn2Co3O8: computed powder XRD pattern (Cu Kα), based on a DFT-relaxed cell (PBE+U, Alexandria).

Structure:
```
data_Zn2Co3O8
_space_group_name_H-M_alt 'P 63 m c'
_space_group_IT_number 186
_space_group_name_Hall 'P 6c -2c'
_cell_length_a 5.7149
_cell_length_b 5.7149
_cell_length_c 9.3492
_cell_angle_alpha 90.00
_cell_angle_beta 90.00
_cell_angle_gamma 120.00
loop_
_atom_site_label
_atom_site_fract_x
_atom_site_fract_y
_atom_site_fract_z
Zn1 0.3333 0.6667 0.0000
Zn2 0.3333 0.6667 0.3958
Co1 0.1639 0.3279 0.7147
O1 0.0000 0.0000 0.3200
O2 0.0381 0.5190 0.8299
O3 0.1566 0.3131 0.1166
O4 0.3333 0.6667 0.6082
```

Principal peaks in the range 15° ≤ 2θ ≤ 90°, low angle first:
hkl	Position (°2θ)	d_spacing	intensity
0 0 2	18.98	4.675	40
1 0 2	26.22	3.398	76
1 0 3	33.99	2.637	87
2 0 0	36.30	2.475	31
1 1 2	36.87	2.438	100
2 0 1	37.60	2.392	78
2 1 3	57.46	1.604	47
3 0 2	59.41	1.556	23
2 0 5	62.23	1.492	67
2 2 0	65.31	1.429	51

Entry 2:
ZnCo4O10: computed powder XRD pattern (Cu Kα), based on a DFT-relaxed cell (PBE+U, Alexandria).

Structure:
```
data_ZnCo4O10
_space_group_name_H-M_alt 'C 1 2/m 1'
_space_group_IT_number 12
_cell_length_a 5.029
_cell_length_b 14.281
_cell_length_c 4.895
_cell_angle_alpha 90.00
_cell_angle_beta 91.06
_cell_angle_gamma 90.00
loop_
_space_group_symop_operation_xyz
'x,y,z'
'-x,-y,-z'
'-x,y,-z'
'x,-y,z'
'x+1/2,y+1/2,z'
'-x+1/2,-y+1/2,-z'
'-x+1/2,y+1/2,-z'
'x+1/2,-y+1/2,z'
loop_
_atom_site_label
_atom_site_fract_x
_atom_site_fract_y
_atom_site_fract_z
Zn1 0.000 0.000 0.000
Co1 0.000 0.202 0.000
Co2 0.000 0.399 0.000
O1 0.139 0.500 0.804
O2 0.164 0.299 0.807
O3 0.172 0.107 0.808
```

Principal peaks in the range 15° ≤ 2θ ≤ 90°, low angle first:
hkl	Position (°2θ)	d_spacing	intensity
0 0 1	18.13	4.894	100
2 0 0	35.71	2.514	7
1 5 0	36.17	2.483	13
2 0 1	40.61	2.222	44
1 5 -2	52.24	1.751	16
2 0 2	52.72	1.736	14
3 5 0	64.46	1.446	8
2 0 -3	67.91	1.380	7
0 10 1	68.48	1.370	7
1 5 3	69.20	1.358	7

Entry 3:
ZnCo4O9: computed powder XRD pattern (Cu Kα), based on a DFT-relaxed cell (PBE+U, Alexandria).

Structure:
```
data_ZnCo4O9
_space_group_name_H-M_alt 'P 4/n'
_space_group_IT_number 85
_cell_length_a 8.225
_cell_length_b 8.225
_cell_length_c 4.821
_cell_angle_alpha 90.00
_cell_angle_beta 90.00
_cell_angle_gamma 90.00
loop_
_space_group_symop_operation_xyz
'x,y,z'
'-x,-y,-z'
'-y+1/2,x,z'
'y+1/2,-x,-z'
'-x+1/2,-y+1/2,z'
'x+1/2,y+1/2,-z'
'y,-x+1/2,z'
'-y,x+1/2,-z'
loop_
_atom_site_label
_atom_site_fract_x
_atom_site_fract_y
_atom_site_fract_z
Zn1 0.250 0.250 0.100
Co1 0.035 0.838 0.387
O1 0.021 0.183 0.945
O2 0.041 0.356 0.444
O3 0.250 0.750 0.500
```

Principal peaks in the range 15° ≤ 2θ ≤ 90°, low angle first:
hkl	Position (°2θ)	d_spacing	intensity
0 0 1	18.40	4.821	42
1 1 1	23.98	3.711	43
2 0 1	28.53	3.129	23
1 2 1	30.57	2.924	100
3 1 0	34.48	2.601	57
1 2 2	44.96	2.016	25
2 4 0	49.56	1.839	39
2 4 1	53.31	1.718	18
4 3 1	59.36	1.557	21
1 2 3	63.14	1.472	22

Entry 4:
ZnCo4O9: computed powder XRD pattern (Cu Kα), based on a DFT-relaxed cell (PBE+U, Alexandria).

Structure:
```
data_ZnCo4O9
_space_group_name_H-M_alt 'P 1 2/c 1'
_space_group_IT_number 13
_cell_length_a 8.190
_cell_length_b 5.049
_cell_length_c 11.270
_cell_angle_alpha 90.00
_cell_angle_beta 133.06
_cell_angle_gamma 90.00
loop_
_space_group_symop_operation_xyz
'x,y,z'
'-x,-y,-z'
'-x,y,-z+1/2'
'x,-y,z+1/2'
loop_
_atom_site_label
_atom_site_fract_x
_atom_site_fract_y
_atom_site_fract_z
Zn1 0.000 0.206 0.250
Co1 0.169 0.329 0.653
Co2 0.390 0.439 0.051
O1 0.110 0.440 0.456
O2 0.126 0.023 0.689
O3 0.317 0.474 0.361
O4 0.375 0.122 0.060
O5 0.500 0.428 0.750
```

Principal peaks in the range 15° ≤ 2θ ≤ 90°, low angle first:
hkl	Position (°2θ)	d_spacing	intensity
0 1 0	17.57	5.049	94
1 1 0	23.05	3.859	25
0 1 2	27.96	3.191	20
2 1 -1	29.66	3.012	91
1 1 -3	30.55	2.926	100
1 0 2	33.82	2.650	51
3 0 -4	35.31	2.542	21
1 2 0	38.71	2.326	16
4 0 -2	48.52	1.876	24
2 0 -6	50.84	1.796	24